No. 1
Diffraction record for SiH18C2N8O2F6. The X-ray diffraction stick pattern is theoretical, not measured: it uses a GGA-PBE-relaxed structure and copper Kα.
No peak broadening, texture or thermal motion is included.

Atomic structure:
```
37
Lattice="6.634 0.000 0.000 0.075 6.749 0.000 1.042 2.651 7.641" Properties=species:S:1:pos:R:3 pbc="T T T"
Si 0.000 0.000 0.000
H 1.607 7.141 5.259
H 1.605 5.488 5.264
H 1.807 2.897 4.774
H 1.604 2.605 0.568
H 1.954 3.114 3.025
H 1.797 4.164 0.647
H 2.378 6.592 2.437
H 3.824 2.824 6.050
H 3.856 6.248 5.641
H 3.895 3.152 2.000
H 3.927 6.576 1.591
H 5.373 2.808 5.204
H 5.954 5.235 6.994
H 5.797 6.286 4.615
H 6.147 6.795 7.073
H 5.944 6.502 2.867
H 6.146 3.911 2.377
H 6.144 2.258 2.381
C 3.723 3.006 4.023
C 4.028 6.393 3.618
N 1.930 6.312 4.752
N 2.388 3.019 3.948
N 3.331 6.299 4.763
N 3.392 6.494 2.449
N 4.359 2.906 5.192
N 4.420 3.100 2.877
N 5.363 6.380 3.693
N 5.821 3.087 2.889
O 1.999 3.322 1.111
O 5.752 6.078 6.530
F 0.608 7.190 1.576
F 1.830 4.037 6.983
F 2.556 8.479 7.399
F 5.195 0.920 0.241
F 5.921 5.362 0.657
F 7.143 2.210 6.065
```

Principal peaks in the range 2θ from 10° to 90°, low angle first:
2θ (°), Rel. int.
13.89, 33
14.90, 21
16.59, 100
18.93, 48
19.07, 18
19.71, 18
20.86, 21
26.53, 77
30.05, 20
30.17, 22
31.59, 17
34.43, 21

No. 2
Diffraction record for B5Mo2. The X-ray diffraction stick pattern is theoretical, not measured: it uses a GGA-PBE-relaxed structure and copper Kα.
No peak broadening, texture or thermal motion is included.

Atomic structure:
```
14
Lattice="3.906 0.000 0.000 -1.953 3.383 0.000 0.000 0.000 10.297" Properties=species:S:1:pos:R:3 pbc="T T T"
B -0.976 1.691 0.000
B -0.976 1.691 5.148
B 0.000 2.255 1.666
B 0.000 2.255 3.483
B 1.953 0.000 0.000
B 1.953 0.000 5.148
B 0.976 1.691 0.000
B 0.976 1.691 5.148
B 1.953 1.128 6.814
B 1.953 1.128 8.631
Mo 0.000 0.000 1.371
Mo 0.000 0.000 3.778
Mo 0.000 0.000 6.519
Mo 0.000 0.000 8.926
```

Principal peaks in the range 2θ from 10° to 90°, low angle first:
2θ (°), Rel. int.
26.35, 100
31.65, 2
34.85, 16
44.21, 57
46.50, 27
54.24, 18
59.40, 26
66.10, 12
74.17, 11
79.71, 8
84.64, 17
86.27, 5

No. 3
Diffraction record for TeS3. The X-ray diffraction stick pattern is theoretical, not measured: it uses a GGA-PBE-relaxed structure and copper Kα.
No peak broadening, texture or thermal motion is included.

Atomic structure:
```
8
Lattice="7.328 0.000 0.000 -3.664 6.346 0.000 0.000 0.000 3.719" Properties=species:S:1:pos:R:3 pbc="T T T"
Te 0.000 4.231 0.930
Te 3.664 2.115 2.790
S 0.000 2.272 2.790
S -1.697 5.211 2.790
S 1.967 1.136 0.930
S 1.697 5.211 2.790
S 5.361 1.136 0.930
S 3.664 4.075 0.930
```

Principal peaks in the range 2θ from 10° to 90°, low angle first:
2θ (°), Rel. int.
13.95, 44
24.29, 35
27.80, 31
28.12, 37
37.25, 100
44.97, 26
48.98, 10
49.77, 27
57.97, 10
63.78, 18
72.41, 17
84.97, 16

No. 4
Diffraction record for Sm2CrFe16. The X-ray diffraction stick pattern is theoretical, not measured: it uses a GGA-PBE-relaxed structure and copper Kα.
No peak broadening, texture or thermal motion is included.

Atomic structure:
```
19
Lattice="4.250 2.454 4.169 -4.250 2.454 4.169 0.000 -4.908 4.169" Properties=species:S:1:pos:R:3 pbc="T T T"
Sm 0.000 0.000 0.000
Sm 0.000 0.000 3.908
Cr 0.000 0.000 9.327
Fe -2.137 -1.234 6.099
Fe 0.000 -2.439 5.988
Fe -2.112 1.220 5.988
Fe -1.256 -2.172 8.174
Fe -2.509 -0.002 8.174
Fe -2.109 -1.218 10.374
Fe 0.000 0.000 7.022
Fe 1.256 -2.172 8.174
Fe -1.253 2.174 8.174
Fe 2.137 -1.234 6.099
Fe 0.000 2.467 6.099
Fe 2.112 1.220 5.988
Fe 2.509 -0.002 8.174
Fe 1.253 2.174 8.174
Fe 2.109 -1.218 10.374
Fe 0.000 2.436 10.374
```

Principal peaks in the range 2θ from 10° to 90°, low angle first:
2θ (°), Rel. int.
30.02, 39
36.62, 40
37.75, 24
42.54, 57
42.76, 100
43.41, 31
43.54, 16
48.06, 19
62.40, 16
70.16, 16
77.85, 23
79.22, 15

No. 5
Diffraction record for K8SnSb4. The X-ray diffraction stick pattern is theoretical, not measured: it uses a GGA-PBE-relaxed structure and copper Kα.
No peak broadening, texture or thermal motion is included.

Atomic structure:
```
26
Lattice="0.000 8.252 8.252 8.252 0.000 8.252 8.252 8.252 0.000" Properties=species:S:1:pos:R:3 pbc="T T T"
K 0.000 0.000 0.000
K 4.126 4.126 0.000
K 4.126 0.000 4.126
K 6.189 6.189 2.434
K 6.189 2.434 6.189
K 9.943 6.189 6.189
K 10.315 10.315 6.560
K 10.315 6.560 10.315
K 14.069 10.315 10.315
K 0.000 4.126 4.126
K 2.434 6.189 6.189
K 6.189 9.943 6.189
K 6.189 6.189 9.943
K 6.560 10.315 10.315
K 10.315 14.069 10.315
K 10.315 10.315 14.069
Sn 2.063 2.063 2.063
Sn 14.440 14.440 14.440
Sb 12.739 7.890 7.890
Sb 3.764 3.764 3.764
Sb 8.613 8.613 3.764
Sb 8.613 3.764 8.613
Sb 7.890 12.739 7.890
Sb 7.890 7.890 12.739
Sb 12.739 12.739 12.739
Sb 3.764 8.613 8.613
```

Principal peaks in the range 2θ from 10° to 90°, low angle first:
2θ (°), Rel. int.
18.62, 45
28.10, 39
30.64, 100
32.09, 20
36.10, 11
38.97, 17
42.05, 30
43.89, 11
50.37, 10
54.48, 17
57.79, 21
70.33, 11

No. 6
Diffraction record for Te4Mo3WSe4. The X-ray diffraction stick pattern is theoretical, not measured: it uses a GGA-PBE-relaxed structure and copper Kα.
No peak broadening, texture or thermal motion is included.

Atomic structure:
```
12
Lattice="3.438 0.000 0.000 -1.719 2.977 0.000 0.000 0.000 39.094" Properties=species:S:1:pos:R:3 pbc="T T T"
Te 0.000 0.000 0.000
Te 0.000 0.000 3.711
Te 0.000 0.000 14.690
Te 0.000 0.000 18.401
Mo 0.000 0.000 33.606
Mo 0.000 1.985 1.857
Mo 0.000 1.985 16.545
W 0.000 0.000 9.201
Se 0.000 1.985 7.560
Se 0.000 1.985 10.841
Se 0.000 1.985 31.969
Se 0.000 1.985 35.243
```

Principal peaks in the range 2θ from 10° to 90°, low angle first:
2θ (°), Rel. int.
11.32, 100
13.59, 15
30.04, 61
35.30, 100
36.59, 15
42.74, 65
44.48, 22
53.31, 41
65.56, 16
70.60, 14
75.24, 18
89.35, 15

No. 7
Diffraction record for Tm2CuPt. The X-ray diffraction stick pattern is theoretical, not measured: it uses a GGA-PBE-relaxed structure and copper Kα.
No peak broadening, texture or thermal motion is included.

Atomic structure:
```
4
Lattice="0.000 3.427 3.427 3.427 0.000 3.427 3.427 3.427 0.000" Properties=species:S:1:pos:R:3 pbc="T T T"
Tm 1.714 1.714 1.714
Tm 5.141 5.141 5.141
Cu 0.000 0.000 0.000
Pt 3.427 3.427 3.427
```

Principal peaks in the range 2θ from 10° to 90°, low angle first:
2θ (°), Rel. int.
22.47, 10
26.00, 2
37.10, 100
43.81, 5
45.86, 1
53.48, 18
58.72, 2
60.40, 1
66.87, 36
71.53, 2
79.03, 11
83.43, 2